Record 1
Theoretical powder diffraction line list
Compound: ZrMo2
Radiation: Cu Kα, 1.54184 Å
Structure: a DFT-relaxed cell (GGA-PBE, the Materials Project)

```
data_ZrMo2
_chemical_formula_sum 'Zr4 Mo8'
_space_group_name_H-M_alt 'F m m m'
_space_group_IT_number 69
_space_group_name_Hall '-F 2 2'
_cell_length_a 3.248
_cell_length_b 4.796
_cell_length_c 13.724
_cell_angle_alpha 90.00
_cell_angle_beta 90.00
_cell_angle_gamma 90.00
loop_
_atom_site_label
_atom_site_type_symbol
_atom_site_fract_x
_atom_site_fract_y
_atom_site_fract_z
Zr1 Zr 0.000 0.000 0.000
Mo1 Mo 0.000 0.000 0.324
```

Main lines, in order of falling intensity (2θ from 10° to 80°):
d [Å]	I_rel
2.318	100
2.398	28
2.287	23
1.369	18
1.655	16
1.327	14
1.345	9
1.624	8
1.324	8
6.862	2

=====

Record 2
Theoretical powder diffraction line list
Compound: MnCr2Se4
Radiation: Cu Kα, 1.54184 Å
Structure: a DFT-relaxed cell (GGA-PBE, the Materials Project)

```
data_MnCr2Se4
_chemical_formula_sum 'Mn2 Cr4 Se8'
_space_group_name_H-M_alt 'C 1 2/m 1'
_space_group_IT_number 12
_space_group_name_Hall '-C 2y'
_cell_length_a 13.613
_cell_length_b 3.724
_cell_length_c 6.454
_cell_angle_alpha 90.00
_cell_angle_beta 118.03
_cell_angle_gamma 90.00
loop_
_atom_site_label
_atom_site_type_symbol
_atom_site_fract_x
_atom_site_fract_y
_atom_site_fract_z
Mn1 Mn 0.000 0.000 0.000
Cr1 Cr 0.241 0.500 0.726
Se1 Se 0.128 0.000 0.457
Se2 Se 0.137 0.500 0.978
```

Main lines, in order of falling intensity (2θ from 10° to 80°):
d [Å]	I_rel
2.845	100
2.838	85
1.862	77
2.201	64
2.195	53
1.699	24
6.008	18
1.557	16
1.419	15
1.704	15

=====

Record 3
Theoretical powder diffraction line list
Compound: Cs2KSbCl6
Radiation: Cu Kα, 1.54184 Å
Structure: a DFT-relaxed cell (GGA-PBE, the Materials Project)

```
data_Cs2KSbCl6
_chemical_formula_sum 'Cs8 K4 Sb4 Cl24'
_space_group_name_H-M_alt 'F m -3 m'
_space_group_IT_number 225
_space_group_name_Hall '-F 4 2 3'
_cell_length_a 11.390
_cell_length_b 11.390
_cell_length_c 11.390
_cell_angle_alpha 90.00
_cell_angle_beta 90.00
_cell_angle_gamma 90.00
loop_
_atom_site_label
_atom_site_type_symbol
_atom_site_fract_x
_atom_site_fract_y
_atom_site_fract_z
Cs1 Cs 0.250 0.250 0.250
K1 K 0.000 0.000 0.000
Sb1 Sb 0.000 0.000 0.500
Cl1 Cl 0.000 0.000 0.266
```

Main lines, in order of falling intensity (2θ from 10° to 80°):
d [Å]	I_rel
4.027	100
2.847	67
2.013	46
2.325	45
3.288	33
1.522	26
1.801	23
1.273	18
6.576	17
1.644	15

=====

Record 4
Theoretical powder diffraction line list
Compound: Na3SmTi2Nb2O12
Radiation: Cu Kα, 1.54184 Å
Structure: a DFT-relaxed cell (GGA-PBE, the Materials Project)

```
data_Na3SmTi2Nb2O12
_chemical_formula_sum 'Na3 Sm1 Ti2 Nb2 O12'
_space_group_name_H-M_alt 'P 1'
_space_group_IT_number 1
_space_group_name_Hall 'P 1'
_cell_length_a 5.493
_cell_length_b 5.587
_cell_length_c 7.832
_cell_angle_alpha 89.88
_cell_angle_beta 89.97
_cell_angle_gamma 89.74
loop_
_atom_site_label
_atom_site_type_symbol
_atom_site_fract_x
_atom_site_fract_y
_atom_site_fract_z
Na1 Na 0.000 0.000 0.000
Na2 Na 0.013 0.952 0.501
Na3 Na 0.511 0.497 0.000
Sm1 Sm 0.500 0.427 0.501
Ti1 Ti 0.003 0.464 0.256
Ti2 Ti 0.510 0.962 0.746
Nb1 Nb 0.003 0.474 0.763
Nb2 Nb 0.511 0.962 0.238
O1 O 0.073 0.464 0.004
O2 O 0.228 0.213 0.299
O3 O 0.232 0.210 0.703
O4 O 0.298 0.693 0.298
O5 O 0.302 0.695 0.704
O6 O 0.430 0.970 0.998
O7 O 0.577 0.002 0.504
O8 O 0.714 0.274 0.776
O9 O 0.716 0.278 0.227
O10 O 0.792 0.774 0.785
O11 O 0.797 0.770 0.216
O12 O 0.924 0.499 0.497
```

Main lines, in order of falling intensity (2θ from 10° to 80°):
d [Å]	I_rel
2.771	100
1.956	48
2.794	35
2.765	34
2.746	32
4.547	31
7.832	30
4.497	29
1.963	24
1.594	22

=====

Record 5
Theoretical powder diffraction line list
Compound: Al2O3
Radiation: Cu Kα, 1.54184 Å
Structure: a DFT-relaxed cell (GGA-PBE, the Materials Project)

```
data_Al2O3
_chemical_formula_sum 'Al12 O18'
_space_group_name_H-M_alt 'P 1 m 1'
_space_group_IT_number 6
_space_group_name_Hall 'P -2y'
_cell_length_a 7.376
_cell_length_b 3.089
_cell_length_c 15.216
_cell_angle_alpha 90.00
_cell_angle_beta 90.28
_cell_angle_gamma 90.00
loop_
_atom_site_label
_atom_site_type_symbol
_atom_site_fract_x
_atom_site_fract_y
_atom_site_fract_z
Al1 Al 0.000 0.000 0.000
Al2 Al 0.003 0.000 0.509
Al3 Al 0.281 0.500 0.078
Al4 Al 0.306 0.500 0.381
Al5 Al 0.328 0.500 0.572
Al6 Al 0.338 0.500 0.887
Al7 Al 0.513 0.000 0.248
Al8 Al 0.518 0.000 0.758
Al9 Al 0.664 0.500 0.112
Al10 Al 0.689 0.500 0.421
Al11 Al 0.719 0.500 0.926
Al12 Al 0.751 0.500 0.660
O1 O 0.118 0.500 0.455
O2 O 0.151 0.500 0.961
O3 O 0.164 0.000 0.093
O4 O 0.212 0.000 0.588
O5 O 0.307 0.000 0.322
O6 O 0.308 0.000 0.827
O7 O 0.432 0.500 0.170
O8 O 0.470 0.500 0.476
O9 O 0.490 0.500 0.668
O10 O 0.500 0.500 0.998
O11 O 0.572 0.500 0.830
O12 O 0.594 0.500 0.313
O13 O 0.702 0.000 0.165
O14 O 0.756 0.000 0.714
O15 O 0.803 0.000 0.433
O16 O 0.833 0.000 0.907
O17 O 0.853 0.500 0.036
O18 O 0.884 0.500 0.568
```

Main lines, in order of falling intensity (2θ from 10° to 80°):
d [Å]	I_rel
5.293	100
7.375	60
7.608	54
2.641	27
3.387	23
1.545	20
2.669	20
1.535	19
2.069	18
2.398	15